# 1
# ErAl8Pd4
Simulated X-ray powder pattern, λ = 1.5418 Å (Cu Kα). Input: DFT lattice parameters and positions (GGA-PBE).

Peak list (10 most intense, 10° ≤ 2θ ≤ 80°, in order of rising 2θ)
- 14.2°, I 21
- 19.2°, I 22
- 20.1°, I 36
- 27.9°, I 29
- 28.6°, I 60
- 38.9°, I 100
- 40.4°, I 34
- 40.9°, I 53
- 44.2°, I 28
- 57.7°, I 43

Atomic structure:
Lattice parameters (Å, degrees): 6.807 6.807 6.807 99.18 99.18 132.91
Fractional positions:
Er1 0.000 0.000 0.000
Al1 0.000 0.348 0.348
Al2 0.000 0.652 0.652
Al3 0.280 0.500 0.780
Al4 0.348 0.000 0.348
Al5 0.500 0.280 0.780
Al6 0.500 0.720 0.220
Al7 0.652 0.000 0.652
Al8 0.720 0.500 0.220
Pd1 0.000 0.000 0.500
Pd2 0.000 0.500 0.000
Pd3 0.500 0.000 0.000
Pd4 0.500 0.500 0.500

# 2
# PuGa2Pt6
Simulated X-ray powder pattern, λ = 1.5418 Å (Cu Kα). Input: DFT lattice parameters and positions (GGA-PBE).

Peak list (10 most intense, 10° ≤ 2θ ≤ 80°, in order of rising 2θ)
- 13.6°, I 8
- 22.3°, I 6
- 26.2°, I 20
- 31.7°, I 87
- 41.6°, I 11
- 45.5°, I 100
- 56.5°, I 23
- 63.3°, I 5
- 66.3°, I 16
- 75.3°, I 30

Atomic structure:
Lattice parameters (Å, degrees): 7.980 7.980 7.980 60.00 60.00 60.00
Fractional positions:
Pu1 0.125 0.125 0.125
Pu2 0.875 0.875 0.875
Ga1 0.000 0.500 0.500
Ga2 0.500 0.000 0.500
Ga3 0.500 0.500 0.000
Ga4 0.500 0.500 0.500
Pt1 0.119 0.119 0.631
Pt2 0.119 0.631 0.119
Pt3 0.119 0.631 0.631
Pt4 0.369 0.369 0.881
Pt5 0.369 0.881 0.369
Pt6 0.369 0.881 0.881
Pt7 0.631 0.119 0.119
Pt8 0.631 0.119 0.631
Pt9 0.631 0.631 0.119
Pt10 0.881 0.369 0.369
Pt11 0.881 0.369 0.881
Pt12 0.881 0.881 0.369